For Li4CoO3, a cell relaxed with PBE+U gives the theoretical powder XRD pattern in this record (Cu Kα X-rays).

Atomic structure:
Cell lengths 5.6161, 5.6161, 6.9313 Å; angles 109.16, 109.16, 53.99 degrees
Sites, in units of the cell vectors:
Li 0.1460 0.8540 0.5000
Li 0.4017 0.9757 0.9062
Li 0.4560 0.7637 0.2073
Li 0.5991 0.9114 0.5960
Li 0.7637 0.4560 0.7073
Li 0.8540 0.1460 0.0000
Li 0.9114 0.5991 0.0960
Li 0.9757 0.4017 0.4062
Co 0.2307 0.5112 0.8204
Co 0.5112 0.2307 0.3204
O 0.1834 0.1875 0.6589
O 0.1875 0.1834 0.1589
O 0.5400 0.5572 0.4244
O 0.5572 0.5400 0.9244
O 0.7994 0.8360 0.3710
O 0.8360 0.7994 0.8710

Largest 8 diffraction maxima, by intensity, 2θ from 10° to 90°:
d = 3.272 Å, rel. 100.0
d = 4.022 Å, rel. 78.2
d = 4.471 Å, rel. 60.6
d = 4.652 Å, rel. 59.1
d = 2.866 Å, rel. 58.4
d = 3.402 Å, rel. 55.6
d = 3.222 Å, rel. 53.1
d = 2.238 Å, rel. 45.6